[1]
The following is a theoretical powder XRD pattern of La7CoI12. It was derived from a PBE-relaxed structure, using Cu Kα (weighted mean of Kα1 and Kα2).
Peak positions follow from Bragg's law for the DFT cell and can differ from measured ones.

Top 10 peaks for 10° ≤ 2θ ≤ 90°, by intensity:
- 27.94 deg, intensity 100, hkl 4 -1 2
- 39.92 deg, intensity 71, hkl 5 2 0
- 65.34 deg, intensity 27, hkl 9 1 2
- 49.43 deg, intensity 23, hkl 2 6 2
- 24.14 deg, intensity 19, hkl 1 3 1
- 10.87 deg, intensity 16, hkl 1 1 0
- 72.49 deg, intensity 14, hkl 6 5 4
- 57.74 deg, intensity 11, hkl 8 -2 4
- 26.52 deg, intensity 10, hkl 2 -1 3
- 47.20 deg, intensity 10, hkl 8 -2 1

Structure:
Cell lengths 16.2761, 16.2761, 11.0731 Å; angles 90.00, 90.00, 120.00 degrees
Space group R3 (No. 146, hexagonal axes)
One atom of each set of equivalent atoms:
La (0.0000, 0.0000, 0.0000)
La (0.0439, 0.8856, 0.3654)
La (0.1569, 0.0435, 0.6608)
Co (0.0000, 0.0000, 0.5109)
I (0.0211, 0.4337, 0.1757)
I (0.0529, 0.8633, 0.8532)
I (0.1003, 0.7457, 0.1837)
I (0.1835, 0.0513, 0.1702)


[2]
The following is a theoretical powder XRD pattern of Rb6Na4Tl13. It was derived from a PBE-relaxed structure, using Cu Kα (weighted mean of Kα1 and Kα2).
Peak positions follow from Bragg's law for the DFT cell and can differ from measured ones.

Top 10 peaks for 10° ≤ 2θ ≤ 90°, by intensity:
- 10.42 deg, intensity 100, hkl 1 1 0
- 27.79 deg, intensity 82, hkl 3 1 2
- 33.36 deg, intensity 78, hkl 4 2 0
- 35.04 deg, intensity 43, hkl 3 3 2
- 31.60 deg, intensity 31, hkl 4 1 1
- 46.61 deg, intensity 23, hkl 5 2 3
- 55.14 deg, intensity 23, hkl 6 4 0
- 29.75 deg, intensity 23, hkl 4 0 0
- 57.41 deg, intensity 20, hkl 6 2 4
- 38.21 deg, intensity 20, hkl 5 0 1

Structure:
Cell lengths 12.0114, 12.0114, 12.0114 Å; angles 90.00, 90.00, 90.00 degrees
Space group Im-3 (No. 204)
One atom of each set of equivalent atoms:
Rb (0.0000, 0.1709, 0.5000)
Na (0.2500, 0.2500, 0.2500)
Tl (0.0000, 0.0000, 0.0000)
Tl (0.0000, 0.2377, 0.1407)


[3]
The following is a theoretical powder XRD pattern of Eu2GeS4. It was derived from a PBE-relaxed structure, using Cu Kα (weighted mean of Kα1 and Kα2).
Peak positions follow from Bragg's law for the DFT cell and can differ from measured ones.

Top 10 peaks for 10° ≤ 2θ ≤ 90°, by intensity:
- 26.53 deg, intensity 100, hkl 0 2 0
- 19.21 deg, intensity 69, hkl 1 1 0
- 33.42 deg, intensity 56, hkl 1 1 2
- 33.25 deg, intensity 55, hkl 2 1 -2
- 38.98 deg, intensity 51, hkl 2 2 0
- 35.38 deg, intensity 50, hkl 1 2 -2
- 26.63 deg, intensity 31, hkl 0 1 2
- 44.65 deg, intensity 27, hkl 1 0 -4
- 28.05 deg, intensity 26, hkl 2 0 0
- 30.58 deg, intensity 24, hkl 1 0 2

Structure:
Cell lengths 6.6903, 6.7229, 8.1187 Å; angles 90.00, 108.00, 90.00 degrees
Space group P2_1/m (No. 11)
One atom of each set of equivalent atoms:
Eu (0.2214, 0.2500, 0.0529)
Eu (0.2643, 0.2500, 0.5672)
Ge (0.2275, 0.7500, 0.7994)
S (0.0039, 0.0046, 0.7396)
S (0.4080, 0.7500, 0.0812)
S (0.4272, 0.7500, 0.6248)


Copy entry 1 word for word.
The following is a theoretical powder XRD pattern of La7CoI12. It was derived from a PBE-relaxed structure, using Cu Kα (weighted mean of Kα1 and Kα2).
Peak positions follow from Bragg's law for the DFT cell and can differ from measured ones.

Top 10 peaks for 10° ≤ 2θ ≤ 90°, by intensity:
- 27.94 deg, intensity 100, hkl 4 -1 2
- 39.92 deg, intensity 71, hkl 5 2 0
- 65.34 deg, intensity 27, hkl 9 1 2
- 49.43 deg, intensity 23, hkl 2 6 2
- 24.14 deg, intensity 19, hkl 1 3 1
- 10.87 deg, intensity 16, hkl 1 1 0
- 72.49 deg, intensity 14, hkl 6 5 4
- 57.74 deg, intensity 11, hkl 8 -2 4
- 26.52 deg, intensity 10, hkl 2 -1 3
- 47.20 deg, intensity 10, hkl 8 -2 1

Structure:
Cell lengths 16.2761, 16.2761, 11.0731 Å; angles 90.00, 90.00, 120.00 degrees
Space group R3 (No. 146, hexagonal axes)
One atom of each set of equivalent atoms:
La (0.0000, 0.0000, 0.0000)
La (0.0439, 0.8856, 0.3654)
La (0.1569, 0.0435, 0.6608)
Co (0.0000, 0.0000, 0.5109)
I (0.0211, 0.4337, 0.1757)
I (0.0529, 0.8633, 0.8532)
I (0.1003, 0.7457, 0.1837)
I (0.1835, 0.0513, 0.1702)


Copy entry 3 word for word.
The following is a theoretical powder XRD pattern of Eu2GeS4. It was derived from a PBE-relaxed structure, using Cu Kα (weighted mean of Kα1 and Kα2).
Peak positions follow from Bragg's law for the DFT cell and can differ from measured ones.

Top 10 peaks for 10° ≤ 2θ ≤ 90°, by intensity:
- 26.53 deg, intensity 100, hkl 0 2 0
- 19.21 deg, intensity 69, hkl 1 1 0
- 33.42 deg, intensity 56, hkl 1 1 2
- 33.25 deg, intensity 55, hkl 2 1 -2
- 38.98 deg, intensity 51, hkl 2 2 0
- 35.38 deg, intensity 50, hkl 1 2 -2
- 26.63 deg, intensity 31, hkl 0 1 2
- 44.65 deg, intensity 27, hkl 1 0 -4
- 28.05 deg, intensity 26, hkl 2 0 0
- 30.58 deg, intensity 24, hkl 1 0 2

Structure:
Cell lengths 6.6903, 6.7229, 8.1187 Å; angles 90.00, 108.00, 90.00 degrees
Space group P2_1/m (No. 11)
One atom of each set of equivalent atoms:
Eu (0.2214, 0.2500, 0.0529)
Eu (0.2643, 0.2500, 0.5672)
Ge (0.2275, 0.7500, 0.7994)
S (0.0039, 0.0046, 0.7396)
S (0.4080, 0.7500, 0.0812)
S (0.4272, 0.7500, 0.6248)


Please write out number 3 again, unchanged.
The following is a theoretical powder XRD pattern of Eu2GeS4. It was derived from a PBE-relaxed structure, using Cu Kα (weighted mean of Kα1 and Kα2).
Peak positions follow from Bragg's law for the DFT cell and can differ from measured ones.

Top 10 peaks for 10° ≤ 2θ ≤ 90°, by intensity:
- 26.53 deg, intensity 100, hkl 0 2 0
- 19.21 deg, intensity 69, hkl 1 1 0
- 33.42 deg, intensity 56, hkl 1 1 2
- 33.25 deg, intensity 55, hkl 2 1 -2
- 38.98 deg, intensity 51, hkl 2 2 0
- 35.38 deg, intensity 50, hkl 1 2 -2
- 26.63 deg, intensity 31, hkl 0 1 2
- 44.65 deg, intensity 27, hkl 1 0 -4
- 28.05 deg, intensity 26, hkl 2 0 0
- 30.58 deg, intensity 24, hkl 1 0 2

Structure:
Cell lengths 6.6903, 6.7229, 8.1187 Å; angles 90.00, 108.00, 90.00 degrees
Space group P2_1/m (No. 11)
One atom of each set of equivalent atoms:
Eu (0.2214, 0.2500, 0.0529)
Eu (0.2643, 0.2500, 0.5672)
Ge (0.2275, 0.7500, 0.7994)
S (0.0039, 0.0046, 0.7396)
S (0.4080, 0.7500, 0.0812)
S (0.4272, 0.7500, 0.6248)